Simulated X-ray diffraction stick pattern of TbYZn2Ge2 for Cu Kα (λ = 1.5418 Å), from DFT lattice parameters and positions (PBE).
Kinematic intensities with the Lorentz-polarization factor, no thermal factor.

Main lines, by intensity (2θ from 10° to 90°):
Position (°2θ), I_rel
33.4, 100
42.6, 51
55.2, 23
72.2, 21
64.6, 20
46.1, 9
78.1, 8
24.2, 8
26.8, 7
77.2, 5

abc: 4.2403 4.2403 15.7418
angles: 90.00 90.00 120.00
Sites, in units of the cell vectors:
Tb  0.0000  0.0000  0.0000
Tb  0.0000  0.0000  0.5000
Y  0.0000  0.0000  0.2500
Y  0.0000  0.0000  0.7500
Zn  0.3333  0.6667  0.1462
Zn  0.3333  0.6667  0.3538
Zn  0.6667  0.3333  0.6462
Zn  0.6667  0.3333  0.8538
Ge  0.3333  0.6667  0.6143
Ge  0.3333  0.6667  0.8857
Ge  0.6667  0.3333  0.1143
Ge  0.6667  0.3333  0.3857

***

Simulated X-ray diffraction stick pattern of TcGeW2 for Cu Kα (λ = 1.5418 Å), from DFT lattice parameters and positions (PBE).
Kinematic intensities with the Lorentz-polarization factor, no thermal factor.

Main lines, by intensity (2θ from 10° to 90°):
Position (°2θ), I_rel
40.8, 100
74.2, 34
59.0, 17
24.6, 15
88.3, 11
48.2, 8
64.9, 3
79.5, 3

abc: 4.4279 4.4279 4.4279
angles: 60.00 60.00 60.00
Sites, in units of the cell vectors:
Tc  0.0000  0.0000  0.0000
Ge  0.7500  0.7500  0.7500
W  0.2500  0.2500  0.2500
W  0.5000  0.5000  0.5000

***

Simulated X-ray diffraction stick pattern of TcGe2W for Cu Kα (λ = 1.5418 Å), from DFT lattice parameters and positions (PBE).
Kinematic intensities with the Lorentz-polarization factor, no thermal factor.

Main lines, by intensity (2θ from 10° to 90°):
Position (°2θ), I_rel
40.5, 100
73.7, 34
58.6, 17
24.5, 15
87.6, 11
47.9, 8
28.3, 4
64.5, 3
79.0, 3
66.4, 2

abc: 4.4540 4.4540 4.4540
angles: 60.00 60.00 60.00
Sites, in units of the cell vectors:
Tc  0.0000  0.0000  0.0000
Ge  0.2500  0.2500  0.2500
Ge  0.5000  0.5000  0.5000
W  0.7500  0.7500  0.7500

***

Simulated X-ray diffraction stick pattern of Zn2Tc3Ge for Cu Kα (λ = 1.5418 Å), from DFT lattice parameters and positions (PBE).
Kinematic intensities with the Lorentz-polarization factor, no thermal factor.

Main lines, by intensity (2θ from 10° to 90°):
Position (°2θ), I_rel
39.3, 100
42.4, 72
54.4, 39
43.9, 32
71.4, 29
34.4, 26
80.7, 23
21.6, 19
52.0, 16
37.7, 12

abc: 3.3712 3.3712 8.2445
angles: 90.00 90.00 90.00
Sites, in units of the cell vectors:
Zn  0.0000  0.5000  0.2394
Zn  0.5000  0.0000  0.7606
Tc  0.0000  0.5000  0.9198
Tc  0.5000  0.0000  0.0802
Tc  0.5000  0.5000  0.5000
Ge  0.0000  0.0000  0.5000

***

Simulated X-ray diffraction stick pattern of Tm5Ge4 for Cu Kα (λ = 1.5418 Å), from DFT lattice parameters and positions (PBE).
Kinematic intensities with the Lorentz-polarization factor, no thermal factor.

Main lines, by intensity (2θ from 10° to 90°):
Position (°2θ), I_rel
32.2, 100
36.4, 54
38.0, 50
34.2, 43
32.4, 43
33.5, 33
34.4, 32
37.7, 31
37.3, 28
26.4, 26

abc: 7.5309 14.4784 7.6055
angles: 90.00 90.00 90.00
Sites, in units of the cell vectors:
Tm  0.0260  0.1001  0.1767
Tm  0.0260  0.3999  0.1767
Tm  0.1253  0.6185  0.3387
Tm  0.1253  0.8815  0.3387
Tm  0.2100  0.2500  0.5010
Tm  0.2900  0.7500  0.0010
Tm  0.3747  0.1185  0.8387
Tm  0.3747  0.3815  0.8387
Tm  0.4740  0.6001  0.6767
Tm  0.4740  0.8999  0.6767
Tm  0.5260  0.1001  0.3233
Tm  0.5260  0.3999  0.3233
Tm  0.6253  0.6185  0.1613
Tm  0.6253  0.8815  0.1613
Tm  0.7100  0.2500  0.9990
Tm  0.7900  0.7500  0.4990
Tm  0.8747  0.1185  0.6613
Tm  0.8747  0.3815  0.6613
Tm  0.9740  0.6001  0.8233
Tm  0.9740  0.8999  0.8233
Ge  0.0768  0.2500  0.8815
Ge  0.1665  0.7500  0.6401
Ge  0.2160  0.0435  0.5335
Ge  0.2160  0.4565  0.5335
Ge  0.2840  0.5435  0.0335
Ge  0.2840  0.9565  0.0335
Ge  0.3335  0.2500  0.1401
Ge  0.4232  0.7500  0.3815
Ge  0.5768  0.2500  0.6185
Ge  0.6665  0.7500  0.8599
Ge  0.7160  0.0435  0.9665
Ge  0.7160  0.4565  0.9665
Ge  0.7840  0.5435  0.4665
Ge  0.7840  0.9565  0.4665
Ge  0.8335  0.2500  0.3599
Ge  0.9232  0.7500  0.1185

***

Simulated X-ray diffraction stick pattern of Tm3Ge4 for Cu Kα (λ = 1.5418 Å), from DFT lattice parameters and positions (PBE).
Kinematic intensities with the Lorentz-polarization factor, no thermal factor.

Main lines, by intensity (2θ from 10° to 90°):
Position (°2θ), I_rel
34.8, 100
33.9, 81
30.4, 52
34.5, 40
42.7, 36
45.2, 35
39.0, 33
26.9, 27
38.1, 26
51.9, 23

abc: 5.6504 5.6504 14.1660
angles: 90.00 90.00 138.43
Sites, in units of the cell vectors:
Tm  0.0479  0.9521  0.7500
Tm  0.3316  0.6684  0.5969
Tm  0.3316  0.6684  0.9031
Tm  0.6684  0.3316  0.0969
Tm  0.6684  0.3316  0.4031
Tm  0.9521  0.0479  0.2500
Ge  0.0000  0.0000  0.0000
Ge  0.0000  0.0000  0.5000
Ge  0.2221  0.7779  0.2500
Ge  0.3791  0.6209  0.1084
Ge  0.3791  0.6209  0.3916
Ge  0.6209  0.3791  0.6084
Ge  0.6209  0.3791  0.8916
Ge  0.7779  0.2221  0.7500

***

Simulated X-ray diffraction stick pattern of YTmGe4 for Cu Kα (λ = 1.5418 Å), from DFT lattice parameters and positions (PBE).
Kinematic intensities with the Lorentz-polarization factor, no thermal factor.

Main lines, by intensity (2θ from 10° to 90°):
Position (°2θ), I_rel
36.2, 100
33.6, 18
45.0, 16
46.5, 15
27.8, 13
35.8, 13
25.4, 13
40.9, 13
11.0, 12
77.3, 11

abc: 3.9087 8.2597 8.2597
angles: 28.21 90.00 90.00
Sites, in units of the cell vectors:
Y  0.0000  0.0000  0.0000
Tm  0.5000  0.7924  0.7924
Ge  0.0000  0.3407  0.3407
Ge  0.0000  0.6453  0.6453
Ge  0.5000  0.1501  0.1501
Ge  0.5000  0.4452  0.4452

***

Simulated X-ray diffraction stick pattern of GeW for Cu Kα (λ = 1.5418 Å), from DFT lattice parameters and positions (PBE).
Kinematic intensities with the Lorentz-polarization factor, no thermal factor.

Main lines, by intensity (2θ from 10° to 90°):
Position (°2θ), I_rel
41.0, 100
32.4, 45
57.8, 23
73.3, 18
80.1, 18
61.1, 15
24.5, 13
50.3, 12
88.1, 12
63.7, 6

abc: 3.1922 3.1922 3.6306
angles: 90.00 90.00 120.00
Sites, in units of the cell vectors:
Ge  0.0000  0.0000  0.0000
W  0.6667  0.3333  0.5000

***

Simulated X-ray diffraction stick pattern of Y2GeW for Cu Kα (λ = 1.5418 Å), from DFT lattice parameters and positions (PBE).
Kinematic intensities with the Lorentz-polarization factor, no thermal factor.

Main lines, by intensity (2θ from 10° to 90°):
Position (°2θ), I_rel
36.5, 100
65.7, 35
52.6, 17
88.9, 16
77.6, 11
22.1, 10
25.6, 7
43.1, 6
59.4, 3
57.7, 3

abc: 4.9234 4.9234 4.9234
angles: 60.00 60.00 60.00
Sites, in units of the cell vectors:
Y  0.0000  0.0000  0.0000
Y  0.2500  0.2500  0.2500
Ge  0.5000  0.5000  0.5000
W  0.7500  0.7500  0.7500

***

Simulated X-ray diffraction stick pattern of Y4Zn5Ge6 for Cu Kα (λ = 1.5418 Å), from DFT lattice parameters and positions (PBE).
Kinematic intensities with the Lorentz-polarization factor, no thermal factor.

Main lines, by intensity (2θ from 10° to 90°):
Position (°2θ), I_rel
36.6, 100
42.6, 63
46.7, 32
31.8, 32
32.5, 30
34.7, 29
35.1, 27
49.0, 23
31.9, 22
34.1, 18

abc: 9.5583 9.5583 15.3383
angles: 90.00 90.00 154.33
Sites, in units of the cell vectors:
Y  0.0178  0.9822  0.5000
Y  0.0323  0.9677  0.7625
Y  0.1678  0.8322  0.3037
Y  0.1755  0.8245  0.9444
Y  0.8245  0.1755  0.4444
Y  0.8322  0.1678  0.8037
Y  0.9677  0.0323  0.2625
Y  0.9822  0.0178  0.0000
Zn  0.1519  0.8481  0.6266
Zn  0.3002  0.6998  0.6240
Zn  0.3444  0.6556  0.2725
Zn  0.3498  0.6502  0.9809
Zn  0.4345  0.5655  0.6833
Zn  0.5655  0.4345  0.1833
Zn  0.6502  0.3498  0.4809
Zn  0.6556  0.3444  0.7725
Zn  0.6998  0.3002  0.1240
Zn  0.8481  0.1519  0.1266
Ge  0.1128  0.8872  0.1175
Ge  0.2225  0.7775  0.4860
Ge  0.2277  0.7723  0.7649
Ge  0.4311  0.5689  0.4060
Ge  0.4329  0.5671  0.1289
Ge  0.4403  0.5597  0.8539
Ge  0.5597  0.4403  0.3539
Ge  0.5671  0.4329  0.6289
Ge  0.5689  0.4311  0.9060
Ge  0.7723  0.2277  0.2649
Ge  0.7775  0.2225  0.9860
Ge  0.8872  0.1128  0.6175

***

Simulated X-ray diffraction stick pattern of Zn4Ge3 for Cu Kα (λ = 1.5418 Å), from DFT lattice parameters and positions (PBE).
Kinematic intensities with the Lorentz-polarization factor, no thermal factor.

Main lines, by intensity (2θ from 10° to 90°):
Position (°2θ), I_rel
40.6, 100
37.9, 27
35.7, 24
70.3, 18
77.0, 18
64.2, 16
53.1, 15
78.8, 13
87.9, 3
81.0, 3

abc: 7.6774 7.6774 4.7458
angles: 90.00 90.00 120.00
Sites, in units of the cell vectors:
Zn  0.0527  0.2323  0.2500
Zn  0.1796  0.9473  0.2500
Zn  0.2323  0.1796  0.7500
Zn  0.3333  0.6667  0.2500
Zn  0.6667  0.3333  0.7500
Zn  0.7677  0.8204  0.2500
Zn  0.8204  0.0527  0.7500
Zn  0.9473  0.7677  0.7500
Ge  0.0892  0.4654  0.7500
Ge  0.3761  0.9108  0.7500
Ge  0.4654  0.3761  0.2500
Ge  0.5346  0.6239  0.7500
Ge  0.6239  0.0892  0.2500
Ge  0.9108  0.5346  0.2500

***

Simulated X-ray diffraction stick pattern of Zn5Ge for Cu Kα (λ = 1.5418 Å), from DFT lattice parameters and positions (PBE).
Kinematic intensities with the Lorentz-polarization factor, no thermal factor.

Main lines, by intensity (2θ from 10° to 90°):
Position (°2θ), I_rel
42.0, 100
37.9, 30
37.3, 23
71.2, 19
79.9, 18
54.2, 15
67.3, 15
82.6, 12
80.9, 3
79.6, 2

abc: 4.8187 4.8187 4.7534
angles: 90.00 90.00 120.00
Sites, in units of the cell vectors:
Zn  0.0000  0.3443  0.0000
Zn  0.3333  0.6667  0.5000
Zn  0.3443  0.0000  0.0000
Zn  0.6557  0.6557  0.0000
Zn  0.6667  0.3333  0.5000
Ge  0.0000  0.0000  0.5000

***

Simulated X-ray diffraction stick pattern of Zr4Ge3 for Cu Kα (λ = 1.5418 Å), from DFT lattice parameters and positions (PBE).
Kinematic intensities with the Lorentz-polarization factor, no thermal factor.

Main lines, by intensity (2θ from 10° to 90°):
Position (°2θ), I_rel
38.6, 100
35.7, 32
34.1, 21
66.0, 20
50.2, 14
72.7, 12
61.0, 10
38.8, 7
74.6, 6
31.2, 6

abc: 8.0363 8.0363 5.0356
angles: 90.00 90.00 120.00
Sites, in units of the cell vectors:
Zr  0.0078  0.7637  0.2500
Zr  0.2363  0.2441  0.2500
Zr  0.2441  0.0078  0.7500
Zr  0.3333  0.6667  0.2500
Zr  0.6667  0.3333  0.7500
Zr  0.7559  0.9922  0.2500
Zr  0.7637  0.7559  0.7500
Zr  0.9922  0.2363  0.7500
Ge  0.0625  0.6178  0.7500
Ge  0.3822  0.4447  0.7500
Ge  0.4447  0.0625  0.2500
Ge  0.5553  0.9375  0.7500
Ge  0.6178  0.5553  0.2500
Ge  0.9375  0.3822  0.2500